Structure and theoretical X-ray powder pattern of Ti2CoNi (a cell relaxed with PBE; λ = 1.5418 Å (Cu Kα)).

Structure:
```
Ti2CoNi
1.0
-3.858 3.864 5.453
3.858 -3.864 5.453
3.858 3.864 -5.453
Ti Co Ni
12 6 6
direct
0.000 0.000 0.000
0.001 0.004 0.607
0.001 0.394 0.997
0.248 0.147 0.500
0.248 0.748 0.500
0.248 0.749 0.101
0.393 0.393 0.000
0.397 0.004 0.003
0.397 0.394 0.393
0.646 0.146 0.500
0.647 0.147 0.899
0.647 0.749 0.500
0.034 0.361 0.673
0.323 0.571 0.752
0.688 0.361 0.327
0.820 0.571 0.248
0.822 0.073 0.251
0.822 0.570 0.749
0.033 0.363 0.329
0.033 0.704 0.671
0.610 0.784 0.826
0.611 0.439 0.828
0.611 0.783 0.172
0.958 0.784 0.174
```

Most intense lines, 10° ≤ 2θ ≤ 90°, by angle:
| d/Å | 2θ (°) | I_rel |
| --- | --- | --- |
| 6.302 | 14.05 | 34 |
| 2.504 | 35.86 | 5 |
| 2.228 | 40.48 | 24 |
| 2.101 | 43.06 | 100 |
| 1.930 | 47.09 | 37 |
| 1.845 | 49.39 | 6 |
| 1.819 | 50.14 | 12 |
| 1.288 | 73.55 | 5 |
| 1.286 | 73.66 | 16 |
| 1.097 | 89.32 | 9 |



Structure and theoretical X-ray powder pattern of SrRuO3 (a cell relaxed with PBE; λ = 1.5418 Å (Cu Kα)).

Structure:
```
SrRuO3
1.0
5.615 0.000 0.000
0.000 7.928 0.000
0.000 0.000 5.660
Sr Ru O
4 4 12
direct
0.024 0.250 0.004
0.476 0.750 0.504
0.524 0.250 0.496
0.976 0.750 0.996
0.000 0.000 0.500
0.000 0.500 0.500
0.500 0.000 0.000
0.500 0.500 0.000
0.005 0.750 0.439
0.218 0.532 0.782
0.218 0.968 0.782
0.282 0.032 0.282
0.282 0.468 0.282
0.495 0.250 0.939
0.505 0.750 0.061
0.718 0.532 0.718
0.718 0.968 0.718
0.782 0.032 0.218
0.782 0.468 0.218
0.995 0.250 0.561
```

Most intense lines, 10° ≤ 2θ ≤ 90°, by angle:
| d/Å | 2θ (°) | I_rel |
| --- | --- | --- |
| 2.830 | 31.61 | 20 |
| 2.810 | 31.84 | 100 |
| 1.993 | 45.51 | 24 |
| 1.982 | 45.78 | 12 |
| 1.630 | 56.44 | 18 |
| 1.622 | 56.75 | 23 |
| 1.619 | 56.86 | 8 |
| 1.405 | 66.55 | 17 |
| 1.260 | 75.45 | 6 |
| 1.254 | 75.85 | 7 |



Structure and theoretical X-ray powder pattern of Li11TiAs5 (a cell relaxed with PBE; λ = 1.5418 Å (Cu Kα)).

Structure:
```
Li11TiAs5
1.0
7.112 -2.124 0.000
7.112 2.124 0.000
-4.950 0.000 9.375
Li Ti As
11 1 5
direct
0.000 0.000 0.000
0.002 0.002 0.751
0.187 0.187 0.543
0.210 0.210 0.822
0.221 0.221 0.072
0.405 0.405 0.826
0.409 0.409 0.338
0.584 0.584 0.643
0.614 0.614 0.159
0.808 0.808 0.981
0.996 0.996 0.251
0.807 0.807 0.461
0.216 0.216 0.322
0.413 0.413 0.086
0.609 0.609 0.906
0.795 0.795 0.688
0.989 0.989 0.500
```

Most intense lines, 10° ≤ 2θ ≤ 90°, by angle:
| d/Å | 2θ (°) | I_rel |
| --- | --- | --- |
| 3.532 | 25.22 | 31 |
| 3.515 | 25.34 | 100 |
| 3.124 | 28.57 | 15 |
| 3.011 | 29.67 | 28 |
| 2.171 | 41.59 | 27 |
| 2.165 | 41.73 | 27 |
| 2.134 | 42.35 | 12 |
| 2.124 | 42.56 | 14 |
| 1.870 | 48.71 | 14 |
| 1.821 | 50.09 | 18 |



Structure and theoretical X-ray powder pattern of ZnSn2O4 (a cell relaxed with PBE; λ = 1.5418 Å (Cu Kα)).

Structure:
```
ZnSn2O4
1.0
10.011 0.000 0.000
0.000 3.288 0.000
0.000 0.000 11.728
Zn Sn O
4 8 16
direct
0.241 0.250 0.154
0.259 0.750 0.654
0.741 0.250 0.346
0.759 0.750 0.846
0.066 0.250 0.386
0.084 0.250 0.894
0.416 0.750 0.394
0.434 0.750 0.886
0.566 0.250 0.114
0.584 0.250 0.606
0.916 0.750 0.106
0.934 0.750 0.614
0.031 0.750 0.783
0.066 0.250 0.573
0.110 0.750 0.010
0.202 0.750 0.367
0.298 0.250 0.867
0.390 0.250 0.510
0.434 0.750 0.073
0.469 0.250 0.283
0.531 0.750 0.717
0.566 0.250 0.927
0.610 0.750 0.490
0.702 0.750 0.133
0.798 0.250 0.633
0.890 0.250 0.990
0.934 0.750 0.427
0.969 0.250 0.217
```

Most intense lines, 10° ≤ 2θ ≤ 90°, by angle:
| d/Å | 2θ (°) | I_rel |
| --- | --- | --- |
| 5.006 | 17.72 | 19 |
| 2.932 | 30.49 | 50 |
| 2.900 | 30.83 | 100 |
| 2.757 | 32.47 | 79 |
| 2.748 | 32.58 | 38 |
| 2.006 | 45.21 | 42 |
| 1.992 | 45.55 | 23 |
| 1.647 | 55.80 | 26 |
| 1.643 | 55.97 | 35 |
| 1.430 | 65.23 | 26 |



Structure and theoretical X-ray powder pattern of Rb2CeAgBr6 (a cell relaxed with PBE; λ = 1.5418 Å (Cu Kα)).

Structure:
```
Rb2CeAgBr6
1.0
0.000 5.759 5.759
5.759 0.000 5.759
5.759 5.759 0.000
Rb Ce Ag Br
2 1 1 6
direct
0.250 0.250 0.250
0.750 0.750 0.750
0.000 0.000 0.000
0.500 0.500 0.500
0.251 0.251 0.749
0.251 0.749 0.251
0.251 0.749 0.749
0.749 0.251 0.251
0.749 0.251 0.749
0.749 0.749 0.251
```

Most intense lines, 10° ≤ 2θ ≤ 90°, by angle:
| d/Å | 2θ (°) | I_rel |
| --- | --- | --- |
| 5.759 | 15.39 | 39 |
| 4.072 | 21.83 | 39 |
| 3.325 | 26.81 | 40 |
| 2.879 | 31.06 | 100 |
| 2.575 | 34.84 | 20 |
| 2.351 | 38.28 | 18 |
| 2.036 | 44.50 | 72 |
| 1.662 | 55.26 | 25 |
| 1.288 | 73.55 | 32 |
| 1.176 | 81.96 | 24 |



Structure and theoretical X-ray powder pattern of LaEuZn2 (a cell relaxed with PBE; λ = 1.5418 Å (Cu Kα)).

Structure:
```
LaEuZn2
1.0
7.461 0.000 0.000
0.000 7.461 0.000
0.000 0.000 7.461
La Eu Zn
4 4 8
direct
0.000 0.000 0.000
0.000 0.500 0.500
0.500 0.000 0.500
0.500 0.500 0.000
0.000 0.000 0.500
0.000 0.500 0.000
0.500 0.000 0.000
0.500 0.500 0.500
0.250 0.250 0.250
0.250 0.250 0.750
0.250 0.750 0.250
0.250 0.750 0.750
0.750 0.250 0.250
0.750 0.250 0.750
0.750 0.750 0.250
0.750 0.750 0.750
```

Most intense lines, 10° ≤ 2θ ≤ 90°, by angle:
| d/Å | 2θ (°) | I_rel |
| --- | --- | --- |
| 3.730 | 23.85 | 14 |
| 2.638 | 33.99 | 100 |
| 2.154 | 41.95 | 4 |
| 1.865 | 48.83 | 18 |
| 1.668 | 55.05 | 6 |
| 1.523 | 60.83 | 36 |
| 1.319 | 71.54 | 11 |
| 1.243 | 76.63 | 3 |
| 1.180 | 81.62 | 15 |
| 1.125 | 86.54 | 2 |



Structure and theoretical X-ray powder pattern of HfBRh3 (a cell relaxed with PBE; λ = 1.5418 Å (Cu Kα)).

Structure:
```
HfBRh3
1.0
4.137 0.000 0.000
0.000 4.137 0.000
0.000 0.000 4.137
Hf B Rh
1 1 3
direct
0.000 0.000 0.000
0.500 0.500 0.500
0.000 0.500 0.500
0.500 0.000 0.500
0.500 0.500 0.000
```

Most intense lines, 10° ≤ 2θ ≤ 90°, by angle:
| d/Å | 2θ (°) | I_rel |
| --- | --- | --- |
| 4.137 | 21.48 | 4 |
| 2.925 | 30.56 | 7 |
| 2.388 | 37.66 | 100 |
| 2.068 | 43.77 | 52 |
| 1.850 | 49.26 | 2 |
| 1.689 | 54.32 | 3 |
| 1.462 | 63.62 | 34 |
| 1.247 | 76.36 | 37 |
| 1.194 | 80.42 | 12 |
| 1.106 | 88.43 | 2 |